Entry 1:
Structure and computed PXRD pattern of KZnInI4 (DFT lattice parameters and positions (GGA-PBE); copper Kα).
Kinematic intensities with the Lorentz-polarization factor, no thermal factor.

Structural model:
```
data_KZnInI4
_symmetry_space_group_name_H-M 'P 1 21/m 1'
_symmetry_Int_Tables_number 11
_cell_length_a 7.994
_cell_length_b 8.176
_cell_length_c 9.533
_cell_angle_alpha 90.00
_cell_angle_beta 107.86
_cell_angle_gamma 90.00
loop_
_symmetry_equiv_pos_as_xyz
'x,y,z'
'-x,-y,-z'
'-x,y+1/2,-z'
'x,-y+1/2,z'
loop_
_atom_site_label
_atom_site_type_symbol
_atom_site_fract_x
_atom_site_fract_y
_atom_site_fract_z
K1 K 0.228 0.250 0.058
Zn1 Zn 0.231 0.750 0.799
In1 In 0.245 0.250 0.564
I1 I 0.007 0.001 0.737
I2 I 0.406 0.750 0.081
I3 I 0.419 0.750 0.616
```

Main lines, by angle (2θ = 10–80°):
d 6.978, I = 23, hkl 1 0 -1
d 3.601, I = 100, hkl 1 2 0
d 3.489, I = 50, hkl 2 0 -2
d 3.456, I = 80, hkl 1 0 2
d 3.209, I = 47, hkl 2 1 -2
d 3.186, I = 46, hkl 1 1 2
d 3.040, I = 90, hkl 0 2 2
d 2.785, I = 33, hkl 2 2 0
d 2.383, I = 39, hkl 1 0 -4
d 2.179, I = 21, hkl 3 2 -2
d 2.167, I = 24, hkl 2 2 2
d 2.044, I = 27, hkl 0 4 0

Entry 2:
Structure and computed PXRD pattern of La2In5I12 (DFT lattice parameters and positions (GGA-PBE); copper Kα).
Kinematic intensities with the Lorentz-polarization factor, no thermal factor.

Structural model:
```
data_La2In5I12
_symmetry_space_group_name_H-M 'C 1 2/m 1'
_symmetry_Int_Tables_number 12
_cell_length_a 17.742
_cell_length_b 9.417
_cell_length_c 11.210
_cell_angle_alpha 90.00
_cell_angle_beta 105.74
_cell_angle_gamma 90.00
loop_
_symmetry_equiv_pos_as_xyz
'x,y,z'
'-x,-y,-z'
'-x,y,-z'
'x,-y,z'
'x+1/2,y+1/2,z'
'-x+1/2,-y+1/2,-z'
'-x+1/2,y+1/2,-z'
'x+1/2,-y+1/2,z'
loop_
_atom_site_label
_atom_site_type_symbol
_atom_site_fract_x
_atom_site_fract_y
_atom_site_fract_z
La1 La 0.000 0.250 0.000
In1 In 0.000 0.000 0.500
In2 In 0.195 0.500 0.724
In3 In 0.212 0.500 0.374
I1 I 0.017 0.500 0.811
I2 I 0.033 0.000 0.824
I3 I 0.128 0.234 0.524
I4 I 0.179 0.266 0.129
```

Main lines, by angle (2θ = 10–80°):
d 4.874, I = 41, hkl 3 1 0
d 3.902, I = 47, hkl 4 0 -2
d 3.646, I = 54, hkl 4 0 1
d 3.548, I = 100, hkl 0 2 2
d 3.505, I = 73, hkl 2 2 -2
d 3.163, I = 58, hkl 4 2 0
d 2.906, I = 55, hkl 2 2 -3
d 2.654, I = 45, hkl 4 2 -3
d 2.550, I = 73, hkl 2 2 3
d 2.504, I = 38, hkl 6 2 -1
d 2.443, I = 45, hkl 6 2 -2
d 2.354, I = 65, hkl 0 4 0

Entry 3:
Structure and computed PXRD pattern of La4InI4 (DFT lattice parameters and positions (GGA-PBE); copper Kα).
Kinematic intensities with the Lorentz-polarization factor, no thermal factor.

Structural model:
```
data_La4InI4
_symmetry_space_group_name_H-M 'R -3 m'
_symmetry_Int_Tables_number 166
_symmetry_space_group_name_Hall '-R 3 2"'
_cell_length_a 5.6784
_cell_length_b 5.6784
_cell_length_c 33.8316
_cell_angle_alpha 90.00
_cell_angle_beta 90.00
_cell_angle_gamma 120.00
loop_
_atom_site_label
_atom_site_type_symbol
_atom_site_fract_x
_atom_site_fract_y
_atom_site_fract_z
La1 La 0.0000 0.0000 0.0954
La2 La 0.0000 0.0000 0.3044
In1 In 0.0000 0.0000 0.0000
I1 I 0.0000 0.0000 0.2026
I2 I 0.0000 0.0000 0.4039
```

Main lines, by angle (2θ = 10–80°):
d 5.639, I = 4, hkl 0 0 6
d 3.206, I = 7, hkl 0 1 8
d 2.839, I = 100, hkl 1 1 0
d 2.787, I = 90, hkl 1 0 10
d 1.989, I = 34, hkl 0 2 10
d 1.639, I = 19, hkl 3 0 0
d 1.629, I = 35, hkl 2 1 10
d 1.600, I = 14, hkl 0 1 20
d 1.420, I = 12, hkl 2 2 0
d 1.394, I = 9, hkl 2 0 20
d 1.265, I = 15, hkl 1 3 10
d 1.251, I = 12, hkl 1 2 20

Entry 4:
Structure and computed PXRD pattern of La3InI (DFT lattice parameters and positions (GGA-PBE); copper Kα).
Kinematic intensities with the Lorentz-polarization factor, no thermal factor.

Structural model:
```
data_La3InI
_symmetry_space_group_name_H-M 'C 1 2/m 1'
_symmetry_Int_Tables_number 12
_cell_length_a 12.473
_cell_length_b 6.873
_cell_length_c 8.645
_cell_angle_alpha 90.00
_cell_angle_beta 107.56
_cell_angle_gamma 90.00
loop_
_symmetry_equiv_pos_as_xyz
'x,y,z'
'-x,-y,-z'
'-x,y,-z'
'x,-y,z'
'x+1/2,y+1/2,z'
'-x+1/2,-y+1/2,-z'
'-x+1/2,y+1/2,-z'
'x+1/2,-y+1/2,z'
loop_
_atom_site_label
_atom_site_type_symbol
_atom_site_fract_x
_atom_site_fract_y
_atom_site_fract_z
La1 La 0.049 0.000 0.249
La2 La 0.177 0.252 0.654
In1 In 0.214 0.000 0.000
I1 I 0.062 0.500 0.298
```

Main lines, by angle (2θ = 10–80°):
d 4.121, I = 22, hkl 0 0 2
d 3.172, I = 26, hkl 0 2 1
d 3.112, I = 75, hkl 4 0 -1
d 2.991, I = 30, hkl 2 0 2
d 2.975, I = 28, hkl 2 2 0
d 2.842, I = 26, hkl 2 0 -3
d 2.748, I = 37, hkl 0 0 3
d 2.673, I = 95, hkl 2 2 1
d 2.606, I = 100, hkl 2 2 -2
d 1.767, I = 22, hkl 0 2 4
d 1.718, I = 30, hkl 0 4 0
d 1.504, I = 28, hkl 4 4 -1

Entry 5:
Structure and computed PXRD pattern of LaInTe2I (DFT lattice parameters and positions (GGA-PBE); copper Kα).
Kinematic intensities with the Lorentz-polarization factor, no thermal factor.

Structural model:
```
data_LaInTe2I
_symmetry_space_group_name_H-M 'P 4/m m m'
_symmetry_Int_Tables_number 123
_symmetry_space_group_name_Hall '-P 4 2'
_cell_length_a 6.169
_cell_length_b 6.169
_cell_length_c 6.328
_cell_angle_alpha 90.00
_cell_angle_beta 90.00
_cell_angle_gamma 90.00
loop_
_atom_site_label
_atom_site_type_symbol
_atom_site_fract_x
_atom_site_fract_y
_atom_site_fract_z
La1 La 0.000 0.000 0.000
In1 In 0.500 0.500 0.500
Te1 Te 0.000 0.500 0.000
I1 I 0.000 0.000 0.500
```

Main lines, by angle (2θ = 10–80°):
d 6.169, I = 29, hkl 1 0 0
d 4.417, I = 20, hkl 1 0 1
d 3.591, I = 95, hkl 1 1 1
d 3.164, I = 53, hkl 0 0 2
d 3.084, I = 100, hkl 2 0 0
d 2.209, I = 78, hkl 2 0 2
d 2.181, I = 38, hkl 2 2 0
d 1.864, I = 29, hkl 3 1 1
d 1.796, I = 41, hkl 2 2 2
d 1.408, I = 18, hkl 2 0 4
d 1.386, I = 17, hkl 4 0 2
d 1.264, I = 26, hkl 4 2 2

Entry 6:
Structure and computed PXRD pattern of LiInI (DFT lattice parameters and positions (GGA-PBE); copper Kα).
Kinematic intensities with the Lorentz-polarization factor, no thermal factor.

Structural model:
```
data_LiInI
_symmetry_space_group_name_H-M 'P 1 21/c 1'
_symmetry_Int_Tables_number 14
_cell_length_a 11.693
_cell_length_b 5.735
_cell_length_c 6.048
_cell_angle_alpha 90.00
_cell_angle_beta 90.17
_cell_angle_gamma 90.00
loop_
_symmetry_equiv_pos_as_xyz
'x,y,z'
'-x,-y,-z'
'-x,y+1/2,-z+1/2'
'x,-y+1/2,z+1/2'
loop_
_atom_site_label
_atom_site_type_symbol
_atom_site_fract_x
_atom_site_fract_y
_atom_site_fract_z
Li1 Li 0.101 0.000 0.250
In1 In 0.500 0.250 0.126
I1 I 0.141 0.000 0.751
```

Main lines, by angle (2θ = 10–80°):
d 5.846, I = 43, hkl 2 0 0
d 3.920, I = 68, hkl 1 1 1
d 3.898, I = 100, hkl 3 0 0
d 3.390, I = 74, hkl 2 1 -1
d 3.024, I = 17, hkl 0 0 2
d 2.785, I = 64, hkl 1 2 0
d 2.675, I = 19, hkl 0 1 2
d 2.607, I = 36, hkl 1 1 2
d 2.574, I = 25, hkl 2 2 0
d 2.432, I = 30, hkl 2 1 2
d 2.047, I = 45, hkl 4 2 0
d 2.039, I = 18, hkl 5 1 1

Entry 7:
Structure and computed PXRD pattern of LiInI3 (DFT lattice parameters and positions (GGA-PBE); copper Kα).
Kinematic intensities with the Lorentz-polarization factor, no thermal factor.

Structural model:
```
data_LiInI3
_symmetry_space_group_name_H-M 'P 1 21/c 1'
_symmetry_Int_Tables_number 14
_cell_length_a 8.850
_cell_length_b 6.102
_cell_length_c 14.115
_cell_angle_alpha 90.00
_cell_angle_beta 109.45
_cell_angle_gamma 90.00
loop_
_symmetry_equiv_pos_as_xyz
'x,y,z'
'-x,-y,-z'
'-x,y+1/2,-z+1/2'
'x,-y+1/2,z+1/2'
loop_
_atom_site_label
_atom_site_type_symbol
_atom_site_fract_x
_atom_site_fract_y
_atom_site_fract_z
Li1 Li 0.073 0.001 0.176
In1 In 0.396 0.501 0.339
I1 I 0.075 0.000 0.672
I2 I 0.236 0.000 0.002
I3 I 0.412 0.001 0.332
```

Main lines, by angle (2θ = 10–80°):
d 3.585, I = 100, hkl 2 1 -1
d 3.165, I = 65, hkl 2 0 -4
d 3.101, I = 64, hkl 2 0 2
d 3.051, I = 63, hkl 0 2 0
d 2.218, I = 25, hkl 0 0 6
d 2.212, I = 22, hkl 4 0 -2
d 2.197, I = 47, hkl 2 2 -4
d 2.175, I = 49, hkl 2 2 2
d 1.899, I = 17, hkl 4 1 -5
d 1.870, I = 16, hkl 4 1 1
d 1.794, I = 26, hkl 0 2 6
d 1.791, I = 23, hkl 4 2 -2

Entry 8:
Structure and computed PXRD pattern of Li2InI4 (DFT lattice parameters and positions (GGA-PBE); copper Kα).
Kinematic intensities with the Lorentz-polarization factor, no thermal factor.

Structural model:
```
data_Li2InI4
_symmetry_space_group_name_H-M 'I -4 2 m'
_symmetry_Int_Tables_number 121
_symmetry_space_group_name_Hall 'I -4 2'
_cell_length_a 6.424
_cell_length_b 6.424
_cell_length_c 13.342
_cell_angle_alpha 90.00
_cell_angle_beta 90.00
_cell_angle_gamma 90.00
loop_
_atom_site_label
_atom_site_type_symbol
_atom_site_fract_x
_atom_site_fract_y
_atom_site_fract_z
Li1 Li 0.000 0.500 0.250
In1 In 0.000 0.000 0.000
I1 I 0.225 0.225 0.629
```

Main lines, by angle (2θ = 10–80°):
d 3.755, I = 100, hkl 1 1 2
d 3.657, I = 12, hkl 1 0 3
d 3.336, I = 10, hkl 0 0 4
d 3.212, I = 16, hkl 2 0 0
d 2.809, I = 15, hkl 2 1 1
d 2.314, I = 38, hkl 2 0 4
d 2.271, I = 17, hkl 2 2 0
d 1.997, I = 17, hkl 1 1 6
d 1.943, I = 26, hkl 3 1 2
d 1.500, I = 11, hkl 3 1 6
d 1.345, I = 9, hkl 2 2 8
d 1.319, I = 9, hkl 4 2 4

Entry 9:
Structure and computed PXRD pattern of LiIn3I9 (DFT lattice parameters and positions (GGA-PBE); copper Kα).
Kinematic intensities with the Lorentz-polarization factor, no thermal factor.

Structural model:
```
data_LiIn3I9
_symmetry_space_group_name_H-M 'C 1 c 1'
_symmetry_Int_Tables_number 9
_cell_length_a 18.495
_cell_length_b 13.397
_cell_length_c 11.932
_cell_angle_alpha 90.00
_cell_angle_beta 117.89
_cell_angle_gamma 90.00
loop_
_symmetry_equiv_pos_as_xyz
'x,y,z'
'x,-y,z+1/2'
'x+1/2,y+1/2,z'
'x+1/2,-y+1/2,z+1/2'
loop_
_atom_site_label
_atom_site_type_symbol
_atom_site_fract_x
_atom_site_fract_y
_atom_site_fract_z
Li1 Li 0.000 0.107 0.000
In1 In 0.156 0.052 0.877
In2 In 0.296 0.361 0.849
In3 In 0.436 0.142 0.681
I1 I 0.002 0.157 0.778
I2 I 0.063 0.285 0.145
I3 I 0.152 0.005 0.624
I4 I 0.161 0.370 0.624
I5 I 0.286 0.215 0.012
I6 I 0.291 0.153 0.462
I7 I 0.343 0.456 0.468
I8 I 0.445 0.308 0.848
I9 I 0.469 0.025 0.321
```

Main lines, by angle (2θ = 10–80°):
d 6.491, I = 36, hkl 1 1 1
d 5.316, I = 83, hkl 2 2 -1
d 5.047, I = 35, hkl 3 1 0
d 4.842, I = 37, hkl 3 1 -2
d 4.367, I = 59, hkl 4 0 -2
d 3.826, I = 50, hkl 1 3 1
d 3.744, I = 34, hkl 3 1 -3
d 3.710, I = 73, hkl 2 0 2
d 3.558, I = 100, hkl 1 3 -2
d 3.454, I = 69, hkl 3 3 0
d 2.163, I = 52, hkl 2 6 -1
d 2.135, I = 52, hkl 1 3 4

Entry 10:
Structure and computed PXRD pattern of Li4InI5 (DFT lattice parameters and positions (GGA-PBE); copper Kα).
Kinematic intensities with the Lorentz-polarization factor, no thermal factor.

Structural model:
```
data_Li4InI5
_symmetry_space_group_name_H-M 'P 3 m 1'
_symmetry_Int_Tables_number 156
_cell_length_a 4.6042
_cell_length_b 4.6042
_cell_length_c 40.5746
_cell_angle_alpha 90.00
_cell_angle_beta 90.00
_cell_angle_gamma 120.00
loop_
_symmetry_equiv_pos_as_xyz
'x,y,z'
'-y,x-y,z'
'-x+y,-x,z'
'-y,-x,z'
'-x+y,y,z'
'x,x-y,z'
loop_
_atom_site_label
_atom_site_type_symbol
_atom_site_fract_x
_atom_site_fract_y
_atom_site_fract_z
Li1 Li 0.0000 0.0000 0.0000
Li2 Li 0.0000 0.0000 0.1802
Li3 Li 0.0000 0.0000 0.3615
Li4 Li 0.0000 0.0000 0.5417
Li5 Li 0.0000 0.0000 0.7711
Li6 Li 0.6667 0.3333 0.0897
Li7 Li 0.6667 0.3333 0.2709
Li8 Li 0.6667 0.3333 0.4518
In1 In 0.6667 0.3333 0.6532
In2 In 0.6667 0.3333 0.8821
I1 I 0.0000 0.0000 0.1106
I2 I 0.0000 0.0000 0.2917
I3 I 0.0000 0.0000 0.4724
I4 I 0.0000 0.0000 0.7012
I5 I 0.0000 0.0000 0.9300
I6 I 0.6667 0.3333 0.0202
I7 I 0.6667 0.3333 0.2011
I8 I 0.6667 0.3333 0.3821
I9 I 0.6667 0.3333 0.5637
I10 I 0.6667 0.3333 0.7926
```

Main lines, by angle (2θ = 10–80°):
d 3.987, I = 67, hkl 1 0 0
d 3.689, I = 17, hkl 0 0 11
d 3.579, I = 100, hkl 0 1 5
d 3.435, I = 43, hkl 0 1 6
d 3.135, I = 22, hkl 0 1 8
d 2.987, I = 23, hkl 0 1 9
d 2.458, I = 16, hkl 1 0 13
d 2.302, I = 57, hkl 1 1 0
d 2.048, I = 30, hkl 1 0 17
d 1.953, I = 19, hkl 1 1 11
d 1.936, I = 18, hkl 2 0 5
d 1.439, I = 22, hkl 1 1 22

Entry 11:
Structure and computed PXRD pattern of MgInI5 (DFT lattice parameters and positions (GGA-PBE); copper Kα).
Kinematic intensities with the Lorentz-polarization factor, no thermal factor.

Structural model:
```
data_MgInI5
_symmetry_space_group_name_H-M 'C 1 2/c 1'
_symmetry_Int_Tables_number 15
_cell_length_a 11.406
_cell_length_b 11.670
_cell_length_c 11.013
_cell_angle_alpha 90.00
_cell_angle_beta 118.39
_cell_angle_gamma 90.00
loop_
_symmetry_equiv_pos_as_xyz
'x,y,z'
'-x,-y,-z'
'-x,y,-z+1/2'
'x,-y,z+1/2'
'x+1/2,y+1/2,z'
'-x+1/2,-y+1/2,-z'
'-x+1/2,y+1/2,-z+1/2'
'x+1/2,-y+1/2,z+1/2'
loop_
_atom_site_label
_atom_site_type_symbol
_atom_site_fract_x
_atom_site_fract_y
_atom_site_fract_z
Mg1 Mg 0.000 0.000 0.000
In1 In 0.000 0.373 0.250
I1 I 0.000 0.071 0.750
I2 I 0.017 0.255 0.476
I3 I 0.204 0.464 0.847
```

Main lines, by angle (2θ = 10–80°):
d 5.012, I = 54, hkl 2 0 0
d 4.980, I = 46, hkl 1 1 -2
d 4.076, I = 36, hkl 2 2 -1
d 3.804, I = 49, hkl 2 2 0
d 3.720, I = 100, hkl 0 2 2
d 3.174, I = 34, hkl 2 2 1
d 2.753, I = 46, hkl 2 0 -4
d 2.508, I = 26, hkl 4 0 0
d 2.500, I = 27, hkl 0 4 2
d 2.494, I = 21, hkl 2 4 -2
d 2.046, I = 23, hkl 2 4 2
d 1.962, I = 24, hkl 1 5 -3

Entry 12:
Structure and computed PXRD pattern of MnIn4I6 (DFT lattice parameters and positions (GGA-PBE); copper Kα).
Kinematic intensities with the Lorentz-polarization factor, no thermal factor.

Structural model:
```
data_MnIn4I6
_symmetry_space_group_name_H-M 'C 1 c 1'
_symmetry_Int_Tables_number 9
_cell_length_a 18.122
_cell_length_b 8.874
_cell_length_c 15.235
_cell_angle_alpha 90.00
_cell_angle_beta 119.41
_cell_angle_gamma 90.00
loop_
_symmetry_equiv_pos_as_xyz
'x,y,z'
'x,-y,z+1/2'
'x+1/2,y+1/2,z'
'x+1/2,-y+1/2,z+1/2'
loop_
_atom_site_label
_atom_site_type_symbol
_atom_site_fract_x
_atom_site_fract_y
_atom_site_fract_z
Mn1 Mn 0.000 0.246 0.000
In1 In 0.067 0.368 0.769
In2 In 0.228 0.104 0.270
In3 In 0.285 0.413 0.583
In4 In 0.451 0.297 0.902
I1 I 0.006 0.004 0.110
I2 I 0.127 0.290 0.373
I3 I 0.160 0.279 0.034
I4 I 0.237 0.282 0.750
I5 I 0.406 0.331 0.304
I6 I 0.421 0.020 0.529
```

Main lines, by angle (2θ = 10–80°):
d 4.800, I = 100, hkl 3 1 -2
d 4.499, I = 37, hkl 4 0 -2
d 3.758, I = 62, hkl 2 2 -2
d 3.689, I = 53, hkl 0 2 2
d 3.495, I = 96, hkl 1 1 3
d 3.356, I = 39, hkl 1 1 -4
d 3.168, I = 36, hkl 3 1 2
d 3.003, I = 55, hkl 6 0 -2
d 2.694, I = 34, hkl 5 1 -5
d 2.653, I = 37, hkl 5 1 1
d 2.535, I = 55, hkl 4 0 -6
d 2.486, I = 55, hkl 6 2 -2